No. 1
Structure and computed X-ray powder pattern of K2Rb4Cd2O (a DFT-relaxed cell (GGA-PBE, Alexandria); Cu Kα X-rays).

Structure:
```
data_K2Rb4Cd2O
_chemical_formula_sum 'K4 Rb8 Cd4 O2'
_cell_length_a 14.2198
_cell_length_b 8.3530
_cell_length_c 7.0233
_cell_angle_alpha 90.00
_cell_angle_beta 91.85
_cell_angle_gamma 90.00
_symmetry_space_group_name_H-M 'C 1 2/m 1'
_symmetry_Int_Tables_number 12
loop_
_symmetry_equiv_pos_as_xyz
'x,y,z'
'-x,-y,-z'
'-x,y,-z'
'x,-y,z'
'x+1/2,y+1/2,z'
'-x+1/2,-y+1/2,-z'
'-x+1/2,y+1/2,-z'
'x+1/2,-y+1/2,z'
loop_
_atom_site_label
_atom_site_fract_x
_atom_site_fract_y
_atom_site_fract_z
_atom_site_occupancy
K1 0.1523 0.0000 0.2219 1
Rb1 0.0828 0.2405 0.7857 1
Cd1 0.1691 0.5000 0.2793 1
O1 0.0000 0.0000 0.0000 1
```

Main lines, by angle (2θ = 5–70°):
index  Position (°2θ)  I_rel
2 2 0  24.7  42
0 0 2  25.4  68
2 2 -1  27.7  96
4 0 -1  27.8  49
2 2 1  28.0  100
4 0 1  28.5  42

***

No. 2
Structure and computed X-ray powder pattern of K2Rb6CdO (a DFT-relaxed cell (GGA-PBE, Alexandria); Cu Kα X-rays).

Structure:
```
data_K2Rb6CdO
_chemical_formula_sum 'K4 Rb12 Cd2 O2'
_cell_length_a 13.4758
_cell_length_b 13.5212
_cell_length_c 9.4377
_cell_angle_alpha 90.00
_cell_angle_beta 133.96
_cell_angle_gamma 90.00
_symmetry_space_group_name_H-M 'C 1 m 1'
_symmetry_Int_Tables_number 8
loop_
_symmetry_equiv_pos_as_xyz
'x,y,z'
'x,-y,z'
'x+1/2,y+1/2,z'
'x+1/2,-y+1/2,z'
loop_
_atom_site_label
_atom_site_fract_x
_atom_site_fract_y
_atom_site_fract_z
_atom_site_occupancy
K1 0.0000 0.2426 0.0000 1
Rb1 0.0001 0.2900 0.4999 1
Rb2 0.2064 0.5000 0.4922 1
Rb3 0.2072 0.5000 0.9198 1
Rb4 0.2929 0.0000 0.0799 1
Rb5 0.2939 0.0000 0.5076 1
Cd1 0.0004 0.0000 0.4998 1
O1 0.0001 0.5000 0.4999 1
```

Main lines, by angle (2θ = 5–70°):
index  Position (°2θ)  I_rel
0 2 0  13.1  100
2 2 0  22.6  78
2 2 -2  23.0  80
0 0 2  26.2  72
0 4 0  26.4  71
4 0 -2  26.5  71

***

No. 3
Structure and computed X-ray powder pattern of K2CdReO4 (a DFT-relaxed cell (GGA-PBE, Alexandria); Cu Kα X-rays).

Structure:
```
data_K2CdReO4
_chemical_formula_sum 'K4 Cd2 Re2 O8'
_cell_length_a 7.4106
_cell_length_b 7.4106
_cell_length_c 7.0887
_cell_angle_alpha 90.00
_cell_angle_beta 90.00
_cell_angle_gamma 90.00
_symmetry_space_group_name_H-M 'I -4'
_symmetry_Int_Tables_number 82
loop_
_symmetry_equiv_pos_as_xyz
'x,y,z'
'y,-x,-z'
'-x,-y,z'
'-y,x,-z'
'x+1/2,y+1/2,z+1/2'
'y+1/2,-x+1/2,-z+1/2'
'-x+1/2,-y+1/2,z+1/2'
'-y+1/2,x+1/2,-z+1/2'
loop_
_atom_site_label
_atom_site_fract_x
_atom_site_fract_y
_atom_site_fract_z
_atom_site_occupancy
K1 0.0000 0.0000 0.0000 1
K2 0.0000 0.5000 0.2500 1
Cd1 0.0000 0.5000 0.7500 1
Re1 0.0000 0.0000 0.5000 1
O1 0.1072 0.8241 0.3642 1
```

Main lines, by angle (2θ = 5–70°):
index  Position (°2θ)  I_rel
1 0 1  17.3  89
2 0 0  24.0  86
2 1 1  29.8  40
1 1 2  30.4  100
2 2 0  34.2  35
1 3 2  46.5  62

***

No. 4
Structure and computed X-ray powder pattern of KCdRe2O8 (a DFT-relaxed cell (GGA-PBE, Alexandria); Cu Kα X-rays).

Structure:
```
data_KCdRe2O8
_chemical_formula_sum 'K2 Cd2 Re4 O16'
_cell_length_a 10.9932
_cell_length_b 6.1774
_cell_length_c 6.8728
_cell_angle_alpha 90.00
_cell_angle_beta 110.45
_cell_angle_gamma 90.00
_symmetry_space_group_name_H-M 'C 1 2/m 1'
_symmetry_Int_Tables_number 12
loop_
_symmetry_equiv_pos_as_xyz
'x,y,z'
'-x,-y,-z'
'-x,y,-z'
'x,-y,z'
'x+1/2,y+1/2,z'
'-x+1/2,-y+1/2,-z'
'-x+1/2,y+1/2,-z'
'x+1/2,-y+1/2,z'
loop_
_atom_site_label
_atom_site_fract_x
_atom_site_fract_y
_atom_site_fract_z
_atom_site_occupancy
K1 0.0000 0.0000 0.0000 1
Cd1 0.0000 0.5000 0.5000 1
Re1 0.2068 0.0000 0.6662 1
O1 0.1213 0.5000 0.2546 1
O2 0.1422 0.2352 0.7433 1
O3 0.1485 0.0000 0.3940 1
```

Main lines, by angle (2θ = 5–70°):
index  Position (°2θ)  I_rel
0 0 1  13.8  86
1 1 -1  19.7  46
1 1 1  23.6  100
3 1 -1  28.7  96
0 2 0  28.9  49
3 1 0  29.8  54

***

No. 5
Structure and computed X-ray powder pattern of KCd2SiO4 (a DFT-relaxed cell (GGA-PBE, Alexandria); Cu Kα X-rays).

Structure:
```
data_KCd2SiO4
_chemical_formula_sum 'K2 Cd4 Si2 O8'
_cell_length_a 5.7479
_cell_length_b 5.7479
_cell_length_c 7.5525
_cell_angle_alpha 90.00
_cell_angle_beta 90.00
_cell_angle_gamma 90.00
_symmetry_space_group_name_H-M 'I -4 2 m'
_symmetry_Int_Tables_number 121
_symmetry_space_group_name_Hall 'I -4 2'
loop_
_atom_site_label
_atom_site_fract_x
_atom_site_fract_y
_atom_site_fract_z
_atom_site_occupancy
K1 0.0000 0.0000 0.0000 1
Cd1 0.0000 0.5000 0.2500 1
Si1 0.0000 0.0000 0.5000 1
O1 0.1699 0.1699 0.6249 1
```

Main lines, by angle (2θ = 5–70°):
index  Position (°2θ)  I_rel
1 1 0  21.9  29
2 0 0  31.1  42
1 1 2  32.4  100
2 2 0  44.6  22
3 1 2  56.2  37
2 0 4  58.5  20

***

No. 6
Structure and computed X-ray powder pattern of KTlCd2O4 (a DFT-relaxed cell (GGA-PBE, Alexandria); Cu Kα X-rays).

Structure:
```
data_KTlCd2O4
_chemical_formula_sum 'K2 Tl2 Cd4 O8'
_cell_length_a 5.6690
_cell_length_b 5.6690
_cell_length_c 9.1703
_cell_angle_alpha 90.00
_cell_angle_beta 90.00
_cell_angle_gamma 90.00
_symmetry_space_group_name_H-M 'I -4 2 m'
_symmetry_Int_Tables_number 121
_symmetry_space_group_name_Hall 'I -4 2'
loop_
_atom_site_label
_atom_site_fract_x
_atom_site_fract_y
_atom_site_fract_z
_atom_site_occupancy
K1 0.0000 0.0000 0.0000 1
Tl1 0.0000 0.0000 0.5000 1
Cd1 0.0000 0.5000 0.2500 1
O1 0.2178 0.2178 0.3563 1
```

Main lines, by angle (2θ = 5–70°):
index  Position (°2θ)  I_rel
1 0 1  18.4  38
1 1 2  29.6  100
2 0 0  31.6  31
2 2 0  45.2  19
2 0 4  51.3  25
3 1 2  55.0  34